Computed powder diffraction line list of PrTl3 for a wavelength of 1.5418 Å, from a structure optimized by DFT (GGA-PBE).

Cell and atoms:
```
PrTl3
1.0
4.8654 0.0000 0.0000
0.0000 4.8654 0.0000
0.0000 0.0000 4.8654
Pr Tl
1 3
Cartesian
0.0000 0.0000 0.0000 Pr
0.0000 2.4327 2.4327 Tl
2.4327 0.0000 2.4327 Tl
2.4327 2.4327 0.0000 Tl
```

Peak list (10 most intense, 10° ≤ 2θ ≤ 80°, sorted by position)
h k l	2θ (°)	I/Imax
1 0 0	18.23	2
1 1 0	25.90	1
1 1 1	31.86	100
2 0 0	36.95	51
2 1 0	41.50	1
2 1 1	45.68	1
2 2 0	53.25	36
3 1 1	63.41	43
2 2 2	66.58	12
4 0 0	78.66	6